Structure and calculated PXRD pattern of RuW5Se12 (a DFT-relaxed cell (PBE, Alexandria); Cu Kα, 1.54184 Å).
Kinematic intensities with the Lorentz-polarization factor, no thermal factor.

Structure:
a = 5.699 Å, b = 10.650 Å, c = 13.851 Å
α = 90.00°, β = 90.01°, γ = 90.00°
Space group C2/m (No. 12)
Asymmetric unit:
Ru  0.000  0.000  0.000 (multiplicity 2)
W  0.000  0.129  0.500 (multiplicity 4)
W  0.000  0.372  0.000 (multiplicity 4)
W  0.000  0.500  0.500 (multiplicity 2)
Se  0.156  0.178  0.106 (multiplicity 8)
Se  0.160  0.325  0.390 (multiplicity 8)
Se  0.172  0.000  0.367 (multiplicity 4)
Se  0.181  0.500  0.133 (multiplicity 4)

The 10 most intense peaks (2θ from 10° to 80°), in order of rising 2θ:
| d_spacing | intensity |
| --- | --- |
| 6.925 | 100.0 |
| 2.944 | 9.1 |
| 2.763 | 23.2 |
| 2.635 | 14.8 |
| 2.523 | 33.3 |
| 2.200 | 19.2 |
| 2.039 | 22.6 |
| 1.975 | 9.8 |
| 1.832 | 11.0 |
| 1.663 | 18.0 |

***

Structure and calculated PXRD pattern of RuWSe (a DFT-relaxed cell (PBE, Alexandria); Cu Kα, 1.54184 Å).
Kinematic intensities with the Lorentz-polarization factor, no thermal factor.

Structure:
a = 4.2962 Å, b = 4.2962 Å, c = 2.9257 Å
α = 90.00°, β = 90.00°, γ = 120.00°
Space group P-6m2 (No. 187)
Asymmetric unit:
Ru  0.0000  0.0000  0.0000 (multiplicity 1)
W  0.6667  0.3333  0.5000 (multiplicity 1)
Se  0.3333  0.6667  0.5000 (multiplicity 1)

The 10 most intense peaks (2θ from 10° to 80°), in order of rising 2θ:
| d_spacing | intensity |
| --- | --- |
| 3.721 | 23.5 |
| 2.926 | 12.9 |
| 2.300 | 100.0 |
| 2.148 | 86.9 |
| 1.731 | 17.1 |
| 1.570 | 30.4 |
| 1.463 | 8.5 |
| 1.267 | 29.7 |
| 1.240 | 14.7 |
| 1.209 | 27.2 |